No. 1
Theoretical powder X-ray diffraction pattern of Ta5N6 for Cu Kα, 1.54184 Å, from a DFT-relaxed cell (PBE, the Materials Project).
No peak broadening, texture or thermal motion is included.

Top 10 peaks for 15° ≤ 2θ ≤ 90°, low angle first:
2θ/deg  Rel. int.
19.6  19
26.1  27
34.3  39
35.5  55
38.6  100
43.3  49
56.4  21
61.6  30
64.3  23
72.4  29

Structure:
```
data_Ta5N6
_chemical_formula_sum 'Ta10 N12'
_space_group_name_H-M_alt 'P 63/m c m'
_space_group_IT_number 193
_space_group_name_Hall '-P 6c 2'
_cell_length_a 5.2178
_cell_length_b 5.2178
_cell_length_c 10.4621
_cell_angle_alpha 90.00
_cell_angle_beta 90.00
_cell_angle_gamma 120.00
loop_
_atom_site_label
_atom_site_fract_x
_atom_site_fract_y
_atom_site_fract_z
_atom_site_occupancy
Ta1 0.0000 0.3246 0.2500 1
Ta2 0.3333 0.6667 0.0000 1
N1 0.0000 0.3390 0.6219 1
```

***

No. 2
Theoretical powder X-ray diffraction pattern of NbSe2 for Cu Kα, 1.54184 Å, from a DFT-relaxed cell (PBE, the Materials Project).
No peak broadening, texture or thermal motion is included.

Top 10 peaks for 15° ≤ 2θ ≤ 90°, low angle first:
2θ/deg  Rel. int.
31.4  55
32.7  35
34.3  100
38.2  28
40.5  89
48.5  34
52.6  67
54.5  27
55.7  19
80.2  38

Structure:
```
data_NbSe2
_chemical_formula_sum 'Nb4 Se8'
_space_group_name_H-M_alt 'P -6 m 2'
_space_group_IT_number 187
_space_group_name_Hall 'P -6 2'
_cell_length_a 3.4800
_cell_length_b 3.4800
_cell_length_c 26.3968
_cell_angle_alpha 90.00
_cell_angle_beta 90.00
_cell_angle_gamma 120.00
loop_
_atom_site_label
_atom_site_fract_x
_atom_site_fract_y
_atom_site_fract_z
_atom_site_occupancy
Nb1 0.0000 0.0000 0.0000 1
Nb2 0.0000 0.0000 0.2499 1
Nb3 0.3333 0.6667 0.5000 1
Se1 0.3333 0.6667 0.0638 1
Se2 0.3333 0.6667 0.3138 1
Se3 0.6667 0.3333 0.1862 1
Se4 0.6667 0.3333 0.4363 1
```

***

No. 3
Theoretical powder X-ray diffraction pattern of LaSnIr for Cu Kα, 1.54184 Å, from a DFT-relaxed cell (PBE, the Materials Project).
No peak broadening, texture or thermal motion is included.

Top 10 peaks for 15° ≤ 2θ ≤ 90°, low angle first:
2θ/deg  Rel. int.
23.5  17
31.7  68
34.6  100
36.3  33
41.4  37
42.3  43
42.6  29
57.2  18
60.9  24
66.0  31

Structure:
```
data_LaSnIr
_chemical_formula_sum 'La3 Sn3 Ir3'
_space_group_name_H-M_alt 'P -6 2 m'
_space_group_IT_number 189
_space_group_name_Hall 'P -6 -2'
_cell_length_a 7.5578
_cell_length_b 7.5578
_cell_length_c 4.2451
_cell_angle_alpha 90.00
_cell_angle_beta 90.00
_cell_angle_gamma 120.00
loop_
_atom_site_label
_atom_site_fract_x
_atom_site_fract_y
_atom_site_fract_z
_atom_site_occupancy
La1 0.0000 0.5873 0.0000 1
Sn1 0.0000 0.2483 0.5000 1
Ir1 0.0000 0.0000 0.0000 1
Ir2 0.3333 0.6667 0.5000 1
```

***

No. 4
Theoretical powder X-ray diffraction pattern of HoIn2Pd for Cu Kα, 1.54184 Å, from a DFT-relaxed cell (PBE, the Materials Project).
No peak broadening, texture or thermal motion is included.

Top 10 peaks for 15° ≤ 2θ ≤ 90°, low angle first:
2θ/deg  Rel. int.
32.4  33
33.7  100
34.9  15
35.2  22
36.6  14
37.6  30
39.0  27
39.9  16
40.4  17
65.5  13

Structure:
```
data_HoIn2Pd
_chemical_formula_sum 'Ho20 In40 Pd20'
_space_group_name_H-M_alt 'I 4 m m'
_space_group_IT_number 107
_space_group_name_Hall 'I 4 -2'
_cell_length_a 13.872
_cell_length_b 13.872
_cell_length_c 9.167
_cell_angle_alpha 90.00
_cell_angle_beta 90.00
_cell_angle_gamma 90.00
loop_
_atom_site_label
_atom_site_fract_x
_atom_site_fract_y
_atom_site_fract_z
_atom_site_occupancy
Ho1 0.000 0.000 0.000 1
Ho2 0.000 0.000 0.462 1
Ho3 0.000 0.281 0.393 1
Ho4 0.202 0.202 0.882 1
In1 0.000 0.161 0.724 1
In2 0.000 0.382 0.870 1
In3 0.133 0.133 0.230 1
In4 0.142 0.351 0.131 1
Pd1 0.000 0.213 0.031 1
Pd2 0.000 0.500 0.119 1
Pd3 0.161 0.161 0.538 1
```

***

No. 5
Theoretical powder X-ray diffraction pattern of Sr4Y2GaCu5Pb4O16 for Cu Kα, 1.54184 Å, from a DFT-relaxed cell (PBE, the Materials Project).
No peak broadening, texture or thermal motion is included.

Top 10 peaks for 15° ≤ 2θ ≤ 90°, low angle first:
2θ/deg  Rel. int.
23.7  43
32.2  97
32.5  100
32.6  69
32.8  70
43.8  20
46.9  65
57.8  33
58.3  48
78.1  21

Structure:
```
data_Sr4Y2GaCu5Pb4O16
_chemical_formula_sum 'Sr8 Y4 Ga2 Cu10 Pb8 O32'
_space_group_name_H-M_alt 'C 1 m 1'
_space_group_IT_number 8
_cell_length_a 32.069
_cell_length_b 5.462
_cell_length_c 5.487
_cell_angle_alpha 90.00
_cell_angle_beta 99.18
_cell_angle_gamma 90.00
loop_
_space_group_symop_operation_xyz
'x,y,z'
'x,-y,z'
'x+1/2,y+1/2,z'
'x+1/2,-y+1/2,z'
loop_
_atom_site_label
_atom_site_fract_x
_atom_site_fract_y
_atom_site_fract_z
_atom_site_occupancy
Sr1 0.000 0.000 0.000 1
Sr2 0.000 0.500 0.499 1
Sr3 0.219 0.000 0.213 1
Sr4 0.219 0.500 0.714 1
Y1 0.111 0.000 0.108 1
Y2 0.111 0.500 0.608 1
Ga1 0.051 0.000 0.549 1
Cu1 0.057 0.500 0.054 1
Cu2 0.160 0.500 0.157 1
Cu3 0.161 0.000 0.658 1
Cu4 0.360 0.000 0.356 1
Cu5 0.360 0.500 0.858 1
Pb1 0.303 0.000 0.805 1
Pb2 0.304 0.500 0.307 1
Pb3 0.415 0.000 0.908 1
Pb4 0.416 0.500 0.405 1
O1 0.063 0.243 0.803 1
O2 0.063 0.244 0.317 1
O3 0.156 0.250 0.402 1
O4 0.156 0.251 0.903 1
O5 0.235 0.000 0.728 1
O6 0.236 0.500 0.228 1
O7 0.302 0.000 0.249 1
O8 0.302 0.500 0.748 1
O9 0.418 0.000 0.462 1
O10 0.418 0.500 0.970 1
O11 0.484 0.000 0.985 1
O12 0.488 0.500 0.489 1
```

***

No. 6
Theoretical powder X-ray diffraction pattern of Li2ZnGe for Cu Kα, 1.54184 Å, from a DFT-relaxed cell (PBE, the Materials Project).
No peak broadening, texture or thermal motion is included.

Top 10 peaks for 15° ≤ 2θ ≤ 90°, low angle first:
2θ/deg  Rel. int.
21.5  100
26.2  68
32.3  14
40.7  31
41.9  64
43.8  15
47.6  71
62.2  30
80.6  14
83.2  15

Structure:
```
data_Li2ZnGe
_chemical_formula_sum 'Li8 Zn4 Ge4'
_space_group_name_H-M_alt 'P -3 m 1'
_space_group_IT_number 164
_space_group_name_Hall '-P 3 2"'
_cell_length_a 4.3120
_cell_length_b 4.3120
_cell_length_c 16.5454
_cell_angle_alpha 90.00
_cell_angle_beta 90.00
_cell_angle_gamma 120.00
loop_
_atom_site_label
_atom_site_fract_x
_atom_site_fract_y
_atom_site_fract_z
_atom_site_occupancy
Li1 0.3333 0.6667 0.0416 1
Li2 0.3333 0.6667 0.2078 1
Li3 0.3333 0.6667 0.5426 1
Li4 0.3333 0.6667 0.7095 1
Zn1 0.0000 0.0000 0.1204 1
Zn2 0.0000 0.0000 0.3694 1
Ge1 0.3333 0.6667 0.3746 1
Ge2 0.3333 0.6667 0.8753 1
```

***

No. 7
Theoretical powder X-ray diffraction pattern of SiBPb for Cu Kα, 1.54184 Å, from a DFT-relaxed cell (PBE, the Materials Project).
No peak broadening, texture or thermal motion is included.

Top 10 peaks for 15° ≤ 2θ ≤ 90°, low angle first:
2θ/deg  Rel. int.
24.4  100
28.2  46
40.4  61
47.7  53
50.0  13
58.4  10
64.3  22
66.1  17
73.4  22
78.7  17

Structure:
```
data_SiBPb
_chemical_formula_sum 'Si4 B4 Pb4'
_space_group_name_H-M_alt 'F -4 3 m'
_space_group_IT_number 216
_space_group_name_Hall 'F -4 2 3'
_cell_length_a 6.319
_cell_length_b 6.319
_cell_length_c 6.319
_cell_angle_alpha 90.00
_cell_angle_beta 90.00
_cell_angle_gamma 90.00
loop_
_atom_site_label
_atom_site_fract_x
_atom_site_fract_y
_atom_site_fract_z
_atom_site_occupancy
Si1 0.000 0.000 0.000 1
B1 0.250 0.250 0.750 1
Pb1 0.250 0.250 0.250 1
```

***

No. 8
Theoretical powder X-ray diffraction pattern of CeSe2 for Cu Kα, 1.54184 Å, from a DFT-relaxed cell (PBE, the Materials Project).
No peak broadening, texture or thermal motion is included.

Top 10 peaks for 15° ≤ 2θ ≤ 90°, low angle first:
2θ/deg  Rel. int.
15.0  100
17.1  34
19.8  13
26.1  13
27.4  41
29.9  19
35.5  17
38.6  22
41.6  15
43.9  13

Structure:
```
data_CeSe2
_chemical_formula_sum 'Ce32 Se64'
_space_group_name_H-M_alt 'F d d d'
_space_group_IT_number 70
_cell_length_a 8.224
_cell_length_b 26.140
_cell_length_c 33.861
_cell_angle_alpha 90.00
_cell_angle_beta 90.00
_cell_angle_gamma 90.00
loop_
_space_group_symop_operation_xyz
'x,y,z'
'-x,-y,-z'
'-x+1/4,-y+1/4,z'
'x+1/4,y+1/4,-z'
'x,-y+1/4,-z+1/4'
'-x,y+1/4,z+1/4'
'-x+1/4,y,-z+1/4'
'x+1/4,-y,z+1/4'
'x,y+1/2,z+1/2'
'-x,-y+1/2,-z+1/2'
'-x+1/4,-y+3/4,z+1/2'
'x+1/4,y+3/4,-z+1/2'
'x,-y+3/4,-z+3/4'
'-x,y+3/4,z+3/4'
'-x+1/4,y+1/2,-z+3/4'
'x+1/4,-y+1/2,z+3/4'
'x+1/2,y,z+1/2'
'-x+1/2,-y,-z+1/2'
'-x+3/4,-y+1/4,z+1/2'
'x+3/4,y+1/4,-z+1/2'
'x+1/2,-y+1/4,-z+3/4'
'-x+1/2,y+1/4,z+3/4'
'-x+3/4,y,-z+3/4'
'x+3/4,-y,z+3/4'
'x+1/2,y+1/2,z'
'-x+1/2,-y+1/2,-z'
'-x+3/4,-y+3/4,z'
'x+3/4,y+3/4,-z'
'x+1/2,-y+3/4,-z+1/4'
'-x+1/2,y+3/4,z+1/4'
'-x+3/4,y+1/2,-z+1/4'
'x+3/4,-y+1/2,z+1/4'
loop_
_atom_site_label
_atom_site_fract_x
_atom_site_fract_y
_atom_site_fract_z
_atom_site_occupancy
Ce1 0.124 0.312 0.193 1
Se1 0.000 0.000 0.000 1
Se2 0.125 0.125 0.328 1
Se3 0.125 0.125 0.466 1
Se4 0.125 0.256 0.125 1
```